[1]
For CoAg3, a structure optimized by DFT (GGA-PBE) gives the calculated PXRD pattern in this record (CuKα).

Cell and atoms:
Cell: 2.832 2.832 8.072 Å, 90.00 90.00 90.00°
Space group P4/mmm (No. 123)
Inequivalent atoms, fractional coordinates:
Co 0.000 0.000 0.000 [1 per cell]
Ag 0.000 0.000 0.500 [1 per cell]
Ag 0.500 0.500 0.231 [2 per cell]

Principal peaks in the range 2θ from 15° to 90°, most intense first:
2θ = 38.85°, intensity 100, hkl 1 0 2
2θ = 45.29°, intensity 33, hkl 1 1 0
2θ = 79.29°, intensity 23, hkl 2 1 2
2θ = 65.69°, intensity 18, hkl 1 1 4
2θ = 44.92°, intensity 15, hkl 0 0 4
2θ = 65.98°, intensity 10, hkl 2 0 0
2θ = 83.38°, intensity 9, hkl 2 0 4
2θ = 78.75°, intensity 9, hkl 1 0 6

=====

[2]
For Cr2CoAg, a structure optimized by DFT (GGA-PBE) gives the calculated PXRD pattern in this record (CuKα).

Cell and atoms:
Cell: 2.943 2.958 6.166 Å, 90.00 90.00 90.00°
Space group Pmm2 (No. 25)
Inequivalent atoms, fractional coordinates:
Cr 0.000 0.000 0.000 [1 per cell]
Cr 0.500 0.500 0.215 [1 per cell]
Co 0.500 0.500 0.804 [1 per cell]
Ag 0.000 0.000 0.518 [1 per cell]

Principal peaks in the range 2θ from 15° to 90°, most intense first:
2θ = 43.37°, intensity 100, hkl 1 1 0
2θ = 42.35°, intensity 94, hkl 0 1 2
2θ = 42.46°, intensity 93, hkl 1 0 2
2θ = 78.80°, intensity 26, hkl 1 2 2
2θ = 79.04°, intensity 26, hkl 2 1 2
2θ = 33.61°, intensity 22, hkl 0 1 1
2θ = 33.74°, intensity 21, hkl 1 0 1
2θ = 76.90°, intensity 19, hkl 1 1 4

=====

[3]
For Cr2CoAg2S6, a structure optimized by DFT (GGA-PBE) gives the calculated PXRD pattern in this record (CuKα).

Cell and atoms:
Cell: 5.977 9.999 7.361 Å, 90.00 101.81 90.00°
Space group C2/m (No. 12)
Inequivalent atoms, fractional coordinates:
Cr 0.000 0.149 0.000 [4 per cell]
Co 0.000 0.500 0.000 [2 per cell]
Ag 0.000 0.343 0.500 [4 per cell]
S 0.117 0.336 0.830 [8 per cell]
S 0.144 0.000 0.812 [4 per cell]

Principal peaks in the range 2θ from 15° to 90°, most intense first:
2θ = 32.12°, intensity 100, hkl 1 3 -1
2θ = 30.56°, intensity 62, hkl 2 0 0
2θ = 46.62°, intensity 44, hkl 1 3 -3
2θ = 17.56°, intensity 38, hkl 1 1 0
2θ = 24.71°, intensity 37, hkl 0 0 2
2θ = 51.86°, intensity 36, hkl 1 3 3
2θ = 53.69°, intensity 33, hkl 3 3 -1
2θ = 43.67°, intensity 31, hkl 2 0 2